[1]
This entry pairs a crystal structure of CaTaSn2H with its theoretical X-ray powder pattern. Radiation: Cu Kα. Structure: a DFT-relaxed cell (GGA-PBE, Alexandria).
Intensities are scaled so that the largest is 100.

Structural model:
```
data_CaTaSn2H
_chemical_formula_sum 'Ca1 Ta1 Sn2 H1'
_space_group_name_H-M_alt 'P 4/m m m'
_space_group_IT_number 123
_space_group_name_Hall '-P 4 2'
_cell_length_a 5.684
_cell_length_b 5.684
_cell_length_c 5.018
_cell_angle_alpha 90.00
_cell_angle_beta 90.00
_cell_angle_gamma 90.00
loop_
_atom_site_label
_atom_site_type_symbol
_atom_site_fract_x
_atom_site_fract_y
_atom_site_fract_z
Ca1 Ca 0.000 0.000 0.000
Ta1 Ta 0.000 0.000 0.500
Sn1 Sn 0.000 0.500 0.000
H1 H 0.500 0.500 0.500
```

The 6 most intense peaks (2θ = 10–90°), in order of rising 2θ:
| d (Å) | I (rel.) |
| --- | --- |
| 5.684 | 71 |
| 3.137 | 100 |
| 2.842 | 58 |
| 2.010 | 22 |
| 1.881 | 35 |
| 1.692 | 35 |

[2]
This entry pairs a crystal structure of Sr2CaH with its theoretical X-ray powder pattern. Radiation: Cu Kα. Structure: a DFT-relaxed cell (GGA-PBE, Alexandria).
Intensities are scaled so that the largest is 100.

Structural model:
```
data_Sr2CaH
_chemical_formula_sum 'Sr6 Ca3 H3'
_space_group_name_H-M_alt 'R -3 m'
_space_group_IT_number 166
_space_group_name_Hall '-R 3 2"'
_cell_length_a 4.0271
_cell_length_b 4.0271
_cell_length_c 29.5055
_cell_angle_alpha 90.00
_cell_angle_beta 90.00
_cell_angle_gamma 120.00
loop_
_atom_site_label
_atom_site_type_symbol
_atom_site_fract_x
_atom_site_fract_y
_atom_site_fract_z
Sr1 Sr 0.0000 0.0000 0.2206
Ca1 Ca 0.0000 0.0000 0.0000
H1 H 0.0000 0.0000 0.5000
```

The 6 most intense peaks (2θ = 10–90°), in order of rising 2θ:
| d (Å) | I (rel.) |
| --- | --- |
| 3.394 | 56 |
| 3.278 | 57 |
| 3.153 | 100 |
| 3.002 | 95 |
| 2.014 | 43 |
| 1.716 | 50 |

[3]
This entry pairs a crystal structure of Sr2CaH6 with its theoretical X-ray powder pattern. Radiation: Cu Kα. Structure: a DFT-relaxed cell (GGA-PBE, Alexandria).
Intensities are scaled so that the largest is 100.

Structural model:
```
data_Sr2CaH6
_chemical_formula_sum 'Sr4 Ca2 H12'
_space_group_name_H-M_alt 'I m m m'
_space_group_IT_number 71
_space_group_name_Hall '-I 2 2'
_cell_length_a 4.031
_cell_length_b 5.702
_cell_length_c 12.050
_cell_angle_alpha 90.00
_cell_angle_beta 90.00
_cell_angle_gamma 90.00
loop_
_atom_site_label
_atom_site_type_symbol
_atom_site_fract_x
_atom_site_fract_y
_atom_site_fract_z
Sr1 Sr 0.000 0.000 0.165
Ca1 Ca 0.000 0.000 0.500
H1 H 0.000 0.243 0.339
H2 H 0.000 0.265 0.000
```

The 6 most intense peaks (2θ = 10–90°), in order of rising 2θ:
| d (Å) | I (rel.) |
| --- | --- |
| 3.288 | 100 |
| 2.847 | 47 |
| 2.014 | 32 |
| 1.718 | 29 |
| 1.714 | 14 |
| 1.308 | 9 |

> Number 2 is which compound?

Sr2CaH